Structure and calculated X-ray diffraction stick pattern of CeFeNi8Ge4 (DFT lattice parameters and positions (PBE); λ = 1.5418 Å (Cu Kα)).

Peak list (6 most intense, 2θ = 5–70°, sorted by position)
2θ/deg  I_rel
34.3  28.1
35.7  31.8
37.9  51.8
38.9  100.0
46.1  74.1
47.7  53.5

Crystal structure
Cell: 8.1657 8.1503 7.9602 Å, 60.90 60.70 58.40°
Fractional positions:
Ce (0.0000, 0.0000, 0.5000)
Ce (0.5000, 0.5000, 0.0000)
Fe (0.1886, 0.9464, 0.8114)
Fe (0.9464, 0.1886, 0.0536)
Ni (0.0438, 0.4495, 0.3218)
Ni (0.0509, 0.8028, 0.1972)
Ni (0.1776, 0.3129, 0.0508)
Ni (0.2474, 0.2474, 0.7526)
Ni (0.3010, 0.5544, 0.6990)
Ni (0.3129, 0.1776, 0.4588)
Ni (0.4414, 0.6873, 0.3127)
Ni (0.4495, 0.0438, 0.1849)
Ni (0.5412, 0.9492, 0.6871)
Ni (0.5544, 0.3010, 0.4456)
Ni (0.6782, 0.8151, 0.9562)
Ni (0.6873, 0.4414, 0.5586)
Ni (0.7459, 0.7459, 0.2541)
Ni (0.8028, 0.0509, 0.9491)
Ni (0.8151, 0.6782, 0.5505)
Ni (0.9492, 0.5412, 0.8224)
Ge (0.0412, 0.6947, 0.9588)
Ge (0.1958, 0.5429, 0.4571)
Ge (0.2996, 0.9468, 0.0532)
Ge (0.4508, 0.7980, 0.5492)
Ge (0.5429, 0.1958, 0.8042)
Ge (0.6947, 0.0412, 0.3053)
Ge (0.7980, 0.4508, 0.2020)
Ge (0.9468, 0.2996, 0.7004)

***

Structure and calculated X-ray diffraction stick pattern of BaBRu2 (DFT lattice parameters and positions (PBE); λ = 1.5418 Å (Cu Kα)).

Peak list (6 most intense, 2θ = 5–70°, sorted by position)
2θ/deg  I_rel
28.1  41.7
33.1  100.0
34.6  34.7
53.0  17.4
53.1  17.3
58.1  31.8

Crystal structure
Cell: 6.3419 6.3419 8.9933 Å, 90.00 90.00 90.00°
Fractional positions:
Ba (0.0000, 0.2500, 0.3750)
Ba (0.0000, 0.7500, 0.6250)
Ba (0.5000, 0.2500, 0.1250)
Ba (0.5000, 0.7500, 0.8750)
B (0.0000, 0.2500, 0.8750)
B (0.0000, 0.7500, 0.1250)
B (0.5000, 0.2500, 0.6250)
B (0.5000, 0.7500, 0.3750)
Ru (0.0000, 0.0000, 0.0000)
Ru (0.0000, 0.5000, 0.0000)
Ru (0.2500, 0.2500, 0.7500)
Ru (0.2500, 0.7500, 0.2500)
Ru (0.5000, 0.0000, 0.5000)
Ru (0.5000, 0.5000, 0.5000)
Ru (0.7500, 0.2500, 0.7500)
Ru (0.7500, 0.7500, 0.2500)

***

Structure and calculated X-ray diffraction stick pattern of La4GaPbO (DFT lattice parameters and positions (PBE); λ = 1.5418 Å (Cu Kα)).

Peak list (6 most intense, 2θ = 5–70°, sorted by position)
2θ/deg  I_rel
28.0  100.0
30.4  32.6
31.4  33.9
33.2  85.8
37.2  71.8
48.8  35.1

Crystal structure
Cell: 9.4621 9.4621 6.8338 Å, 90.00 90.00 137.72°
Fractional positions:
La (0.0000, 0.5000, 0.0000)
La (0.0000, 0.5000, 0.5000)
La (0.0556, 0.9444, 0.7500)
La (0.4206, 0.5794, 0.7500)
La (0.5000, 0.0000, 0.0000)
La (0.5000, 0.0000, 0.5000)
La (0.5794, 0.4206, 0.2500)
La (0.9444, 0.0556, 0.2500)
Ga (0.1199, 0.8801, 0.2500)
Ga (0.8801, 0.1199, 0.7500)
Pb (0.3910, 0.6090, 0.2500)
Pb (0.6090, 0.3910, 0.7500)
O (0.2848, 0.7152, 0.7500)
O (0.7152, 0.2848, 0.2500)

***

Structure and calculated X-ray diffraction stick pattern of Tb2Dy6Er3 (DFT lattice parameters and positions (PBE); λ = 1.5418 Å (Cu Kα)).

Peak list (6 most intense, 2θ = 5–70°, sorted by position)
2θ/deg  I_rel
29.0  100.0
34.7  77.2
38.4  60.9
51.2  25.5
63.0  24.9
67.1  22.9

Crystal structure
Cell: 16.8112 16.8112 16.8112 Å, 163.98 163.98 22.74°
Fractional positions:
Tb (0.0458, 0.0458, 0.0000)
Tb (0.9542, 0.9542, 0.0000)
Dy (0.1214, 0.6214, 0.5000)
Dy (0.1968, 0.1968, 0.0000)
Dy (0.3786, 0.8786, 0.5000)
Dy (0.6214, 0.1214, 0.5000)
Dy (0.8032, 0.8032, 0.0000)
Dy (0.8786, 0.3786, 0.5000)
Er (0.3002, 0.3002, 0.0000)
Er (0.5000, 0.5000, 0.0000)
Er (0.6998, 0.6998, 0.0000)

***

Structure and calculated X-ray diffraction stick pattern of SnCSNF (DFT lattice parameters and positions (PBE); λ = 1.5418 Å (Cu Kα)).

Peak list (6 most intense, 2θ = 5–70°, sorted by position)
2θ/deg  I_rel
13.4  80.0
18.1  100.0
24.3  84.7
27.2  91.8
31.3  84.3
42.9  70.2

Crystal structure
Cell: 7.7988 4.4003 12.5986 Å, 90.00 90.00 90.00°
Fractional positions:
Sn (0.1413, 0.2500, 0.0924)
Sn (0.3587, 0.7500, 0.5924)
Sn (0.6413, 0.2500, 0.4076)
Sn (0.8587, 0.7500, 0.9076)
C (0.0690, 0.7500, 0.3922)
C (0.4310, 0.2500, 0.8922)
C (0.5690, 0.7500, 0.1078)
C (0.9310, 0.2500, 0.6078)
S (0.0813, 0.2500, 0.6961)
S (0.4187, 0.7500, 0.1961)
S (0.5813, 0.2500, 0.8039)
S (0.9187, 0.7500, 0.3039)
N (0.1832, 0.7500, 0.4545)
N (0.3168, 0.2500, 0.9545)
N (0.6832, 0.7500, 0.0455)
N (0.8168, 0.2500, 0.5455)
F (0.0775, 0.7500, 0.0277)
F (0.4225, 0.2500, 0.5277)
F (0.5775, 0.7500, 0.4723)
F (0.9225, 0.2500, 0.9723)

***

Structure and calculated X-ray diffraction stick pattern of La5Tb2Ho4 (DFT lattice parameters and positions (PBE); λ = 1.5418 Å (Cu Kα)).

Peak list (6 most intense, 2θ = 5–70°, sorted by position)
2θ/deg  I_rel
28.0  65.7
29.7  61.1
31.0  66.4
31.9  100.0
35.3  53.3
36.6  49.1

Crystal structure
Cell: 12.8661 12.8661 12.8661 Å, 164.12 137.72 45.44°
Fractional positions:
La (0.0000, 0.0000, 0.0000)
La (0.0550, 0.3530, 0.7021)
La (0.3491, 0.6470, 0.7021)
La (0.6509, 0.3530, 0.2979)
La (0.9450, 0.6470, 0.2979)
Tb (0.2693, 0.7693, 0.5000)
Tb (0.7307, 0.2307, 0.5000)
Ho (0.3160, 0.5000, 0.8160)
Ho (0.4037, 0.9037, 0.5000)
Ho (0.5963, 0.0963, 0.5000)
Ho (0.6840, 0.5000, 0.1840)

***

Structure and calculated X-ray diffraction stick pattern of MnCrW2 (DFT lattice parameters and positions (PBE); λ = 1.5418 Å (Cu Kα)).

Peak list (6 most intense, 2θ = 5–70°, sorted by position)
2θ/deg  I_rel
10.6  49.7
32.2  12.6
37.2  22.0
41.8  100.0
43.4  16.1
61.8  11.2

Crystal structure
Cell: 3.1157 4.3302 8.3345 Å, 90.00 90.00 90.00°
Fractional positions:
Mn (0.0000, 0.0000, 0.0000)
Mn (0.5000, 0.5000, 0.0000)
Cr (0.0000, 0.5000, 0.7802)
Cr (0.5000, 0.0000, 0.7802)
W (0.0000, 0.0000, 0.5275)
W (0.0000, 0.5000, 0.2502)
W (0.5000, 0.0000, 0.2502)
W (0.5000, 0.5000, 0.5275)

***

Structure and calculated X-ray diffraction stick pattern of Ta2Cr2S7 (DFT lattice parameters and positions (PBE); λ = 1.5418 Å (Cu Kα)).

Peak list (6 most intense, 2θ = 5–70°, sorted by position)
2θ/deg  I_rel
13.7  79.2
15.2  100.0
21.4  82.0
21.9  43.3
27.6  41.8
41.2  44.7

Crystal structure
Cell: 6.3109 6.3109 6.4946 Å, 93.46 93.46 112.09°
Fractional positions:
Ta (0.1467, 0.8533, 0.0000)
Ta (0.8533, 0.1467, 0.0000)
Cr (0.2401, 0.2401, 0.6465)
Cr (0.7599, 0.7599, 0.3535)
S (0.0586, 0.4586, 0.7917)
S (0.0951, 0.0951, 0.2799)
S (0.4586, 0.0586, 0.7917)
S (0.5000, 0.5000, 0.5000)
S (0.5414, 0.9414, 0.2083)
S (0.9049, 0.9049, 0.7201)
S (0.9414, 0.5414, 0.2083)

***

Structure and calculated X-ray diffraction stick pattern of K4Pu3AuSe8 (DFT lattice parameters and positions (PBE); λ = 1.5418 Å (Cu Kα)).

Peak list (6 most intense, 2θ = 5–70°, sorted by position)
2θ/deg  I_rel
11.6  100.0
27.8  44.3
29.3  76.3
39.8  28.2
41.8  29.6
43.8  23.6

Crystal structure
Cell: 8.6521 8.6521 9.0587 Å, 118.12 118.12 57.16°
Fractional positions:
K (0.0000, 0.0000, 0.0000)
K (0.0000, 0.5000, 0.0000)
K (0.5000, 0.0000, 0.0000)
K (0.5000, 0.5000, 0.0000)
Pu (0.0000, 0.0000, 0.5000)
Pu (0.0000, 0.5000, 0.5000)
Pu (0.5000, 0.0000, 0.5000)
Au (0.5000, 0.5000, 0.5000)
Se (0.2321, 0.2321, 0.7057)
Se (0.2387, 0.2387, 0.2780)
Se (0.2476, 0.7134, 0.6890)
Se (0.2866, 0.7524, 0.3110)
Se (0.7134, 0.2476, 0.6890)
Se (0.7524, 0.2866, 0.3110)
Se (0.7613, 0.7613, 0.7220)
Se (0.7679, 0.7679, 0.2943)

***

Structure and calculated X-ray diffraction stick pattern of NaIn3I8 (DFT lattice parameters and positions (PBE); λ = 1.5418 Å (Cu Kα)).

Peak list (6 most intense, 2θ = 5–70°, sorted by position)
2θ/deg  I_rel
21.5  59.8
22.6  45.7
24.3  100.0
26.4  80.5
38.0  62.5
39.3  66.2

Crystal structure
Cell: 7.8187 7.8187 10.3818 Å, 92.33 92.33 69.31°
Fractional positions:
Na (0.0000, 0.0000, 0.0000)
In (0.0000, 0.0000, 0.5000)
In (0.3687, 0.3687, 0.2291)
In (0.6313, 0.6313, 0.7709)
I (0.2487, 0.7460, 0.7641)
I (0.2505, 0.2505, 0.0024)
I (0.2540, 0.7513, 0.2359)
I (0.2665, 0.2665, 0.4550)
I (0.7335, 0.7335, 0.5450)
I (0.7460, 0.2487, 0.7641)
I (0.7495, 0.7495, 0.9976)
I (0.7513, 0.2540, 0.2359)

***

Structure and calculated X-ray diffraction stick pattern of CoCu2P3 (DFT lattice parameters and positions (PBE); λ = 1.5418 Å (Cu Kα)).

Peak list (6 most intense, 2θ = 5–70°, sorted by position)
2θ/deg  I_rel
36.1  48.5
42.3  82.5
42.5  72.8
47.8  100.0
52.7  72.7
61.5  45.2

Crystal structure
Cell: 4.2765 10.2509 3.8027 Å, 90.00 90.00 90.00°
Fractional positions:
Co (0.2500, 0.2500, 0.1558)
Co (0.7500, 0.7500, 0.8442)
Cu (0.2500, 0.6095, 0.6019)
Cu (0.2500, 0.8905, 0.6019)
Cu (0.7500, 0.1095, 0.3981)
Cu (0.7500, 0.3905, 0.3981)
P (0.2500, 0.1176, 0.6578)
P (0.2500, 0.3824, 0.6578)
P (0.2500, 0.7500, 0.0904)
P (0.7500, 0.2500, 0.9096)
P (0.7500, 0.6176, 0.3422)
P (0.7500, 0.8824, 0.3422)

***

Structure and calculated X-ray diffraction stick pattern of Ba3SrBi6 (DFT lattice parameters and positions (PBE); λ = 1.5418 Å (Cu Kα)).

Peak list (6 most intense, 2θ = 5–70°, sorted by position)
2θ/deg  I_rel
19.3  27.7
26.5  83.8
27.1  24.7
28.9  100.0
29.9  54.7
38.5  42.4

Crystal structure
Cell: 9.4867 9.4867 9.4867 Å, 98.96 98.96 98.96°
Fractional positions:
Ba (0.1779, 0.7500, 0.3221)
Ba (0.2500, 0.6779, 0.8221)
Ba (0.3221, 0.1779, 0.7500)
Ba (0.6779, 0.8221, 0.2500)
Ba (0.7500, 0.3221, 0.1779)
Ba (0.8221, 0.2500, 0.6779)
Sr (0.0000, 0.0000, 0.0000)
Sr (0.5000, 0.5000, 0.5000)
Bi (0.0141, 0.0839, 0.3758)
Bi (0.0839, 0.3758, 0.0141)
Bi (0.1242, 0.4161, 0.4859)
Bi (0.3758, 0.0141, 0.0839)
Bi (0.4161, 0.4859, 0.1242)
Bi (0.4859, 0.1242, 0.4161)
Bi (0.5141, 0.8758, 0.5839)
Bi (0.5839, 0.5141, 0.8758)
Bi (0.6242, 0.9859, 0.9161)
Bi (0.8758, 0.5839, 0.5141)
Bi (0.9161, 0.6242, 0.9859)
Bi (0.9859, 0.9161, 0.6242)